Diffraction record for Cs3PrPa2O9. The XRD peak list is calculated, not measured: it uses a GGA-PBE-relaxed structure and λ = 1.5418 Å (Cu Kα).

Top 6 peaks for 10° ≤ 2θ ≤ 80°, sorted by position:
- 27.80 deg, intensity 1000, hkl 1 1 0
- 39.71 deg, intensity 282, hkl 2 0 2
- 49.17 deg, intensity 427, hkl 3 0 0
- 57.42 deg, intensity 184, hkl 2 2 0
- 64.97 deg, intensity 192, hkl 3 1 2
- 78.88 deg, intensity 168, hkl 4 1 0

Structural model:
```
Cs3PrPa2O9
1.0
6.4234 0.0000 0.0000
-3.2117 5.5629 0.0000
0.0000 0.0000 7.8521
Cs Pr Pa O
3 1 2 9
direct
0.0000 0.0000 0.0000 Cs
0.3333 0.6667 0.6638 Cs
0.6667 0.3333 0.3362 Cs
0.0000 0.0000 0.5000 Pr
0.3333 0.6667 0.1636 Pa
0.6667 0.3333 0.8364 Pa
0.0000 0.5000 0.0000 O
0.1772 0.3545 0.3193 O
0.1772 0.8228 0.3193 O
0.3545 0.1772 0.6807 O
0.5000 0.0000 0.0000 O
0.5000 0.5000 0.0000 O
0.6455 0.8228 0.3193 O
0.8228 0.1772 0.6807 O
0.8228 0.6455 0.6807 O
```